# 1
For Ba6In3Hg, DFT lattice parameters and positions (PBE) gives the theoretical X-ray powder pattern in this record (Cu Kα (λ = 1.5418 Å)).
No peak broadening, texture or thermal motion is included.

Atomic structure:
```
data_Ba6In3Hg
_symmetry_space_group_name_H-M 'P 1'
_symmetry_Int_Tables_number 1
_cell_length_a 10.532
_cell_length_b 6.049
_cell_length_c 13.967
_cell_angle_alpha 90.00
_cell_angle_beta 111.53
_cell_angle_gamma 90.00
loop_
_symmetry_equiv_pos_as_xyz
'x,y,z'
loop_
_atom_site_label
_atom_site_fract_x
_atom_site_fract_y
_atom_site_fract_z
Ba1 0.023 0.250 0.418
Ba2 0.165 0.750 0.160
Ba3 0.246 0.250 0.995
Ba4 0.338 0.750 0.823
Ba5 0.369 0.250 0.357
Ba6 0.379 0.250 0.641
Ba7 0.621 0.750 0.359
Ba8 0.631 0.750 0.643
Ba9 0.662 0.250 0.177
Ba10 0.754 0.750 0.005
Ba11 0.835 0.250 0.840
Ba12 0.977 0.750 0.582
In1 0.018 0.750 0.861
In2 0.075 0.250 0.716
In3 0.262 0.750 0.467
In4 0.738 0.250 0.533
In5 0.925 0.750 0.284
In6 0.982 0.250 0.139
Hg1 0.460 0.750 0.094
Hg2 0.540 0.250 0.906
```

The 10 most intense peaks (2θ = 5–70°), by intensity:
2θ/deg	I/Imax
29.56	100.0
29.40	68.3
30.66	23.6
26.80	18.9
52.33	16.2
29.65	15.0
52.44	14.3
40.30	13.0
53.92	8.2
26.40	8.1

---

# 2
For LiCd2HSe2O7, DFT lattice parameters and positions (PBE) gives the theoretical X-ray powder pattern in this record (Cu Kα (λ = 1.5418 Å)).
No peak broadening, texture or thermal motion is included.

Atomic structure:
```
data_LiCd2HSe2O7
_symmetry_space_group_name_H-M 'P 1'
_symmetry_Int_Tables_number 1
_cell_length_a 5.866
_cell_length_b 10.451
_cell_length_c 11.950
_cell_angle_alpha 90.00
_cell_angle_beta 90.32
_cell_angle_gamma 90.00
loop_
_symmetry_equiv_pos_as_xyz
'x,y,z'
loop_
_atom_site_label
_atom_site_fract_x
_atom_site_fract_y
_atom_site_fract_z
Li1 0.132 0.184 0.139
Li2 0.132 0.316 0.639
Li3 0.868 0.684 0.361
Li4 0.868 0.816 0.861
Cd1 0.125 0.599 0.102
Cd2 0.125 0.901 0.602
Cd3 0.353 0.622 0.793
Cd4 0.353 0.878 0.293
Cd5 0.647 0.122 0.707
Cd6 0.647 0.378 0.207
Cd7 0.875 0.099 0.398
Cd8 0.875 0.401 0.898
H1 0.328 0.084 0.443
H2 0.328 0.416 0.943
H3 0.672 0.584 0.057
H4 0.672 0.916 0.557
Se1 0.119 0.095 0.839
Se2 0.119 0.405 0.339
Se3 0.388 0.664 0.499
Se4 0.388 0.836 0.999
Se5 0.612 0.164 0.001
Se6 0.612 0.336 0.501
Se7 0.881 0.595 0.661
Se8 0.881 0.905 0.161
O1 0.010 0.229 0.771
O2 0.010 0.271 0.271
O3 0.122 0.727 0.469
O4 0.122 0.773 0.969
O5 0.123 0.502 0.670
O6 0.123 0.998 0.170
O7 0.224 0.011 0.435
O8 0.224 0.489 0.935
O9 0.291 0.024 0.737
O10 0.291 0.476 0.237
O11 0.444 0.240 0.099
O12 0.444 0.260 0.599
O13 0.447 0.748 0.119
O14 0.447 0.752 0.619
O15 0.553 0.248 0.381
O16 0.553 0.252 0.881
O17 0.556 0.740 0.401
O18 0.556 0.760 0.901
O19 0.709 0.524 0.763
O20 0.709 0.976 0.263
O21 0.776 0.511 0.065
O22 0.776 0.989 0.565
O23 0.877 0.002 0.830
O24 0.877 0.498 0.330
O25 0.878 0.227 0.031
O26 0.878 0.273 0.531
O27 0.990 0.729 0.729
O28 0.990 0.771 0.229
```

The 10 most intense peaks (2θ = 5–70°), by intensity:
2θ/deg	I/Imax
17.34	100.0
28.17	72.5
32.60	71.0
18.53	66.0
28.33	65.6
32.05	63.2
33.46	59.0
35.92	54.3
48.90	52.1
22.94	50.7

---

# 3
For Cs2RbPbI6, DFT lattice parameters and positions (PBE) gives the theoretical X-ray powder pattern in this record (Cu Kα (λ = 1.5418 Å)).
No peak broadening, texture or thermal motion is included.

Atomic structure:
```
data_Cs2RbPbI6
_symmetry_space_group_name_H-M 'P 1'
_symmetry_Int_Tables_number 1
_cell_length_a 9.285
_cell_length_b 9.285
_cell_length_c 9.285
_cell_angle_alpha 60.00
_cell_angle_beta 60.00
_cell_angle_gamma 60.00
loop_
_symmetry_equiv_pos_as_xyz
'x,y,z'
loop_
_atom_site_label
_atom_site_fract_x
_atom_site_fract_y
_atom_site_fract_z
Cs1 0.250 0.250 0.250
Cs2 0.750 0.750 0.750
Rb1 0.000 0.000 0.000
Pb1 0.500 0.500 0.500
I1 0.265 0.265 0.735
I2 0.265 0.735 0.265
I3 0.265 0.735 0.735
I4 0.735 0.265 0.265
I5 0.735 0.265 0.735
I6 0.735 0.735 0.265
```

The 10 most intense peaks (2θ = 5–70°), by intensity:
2θ/deg	I/Imax
27.16	100.0
38.79	74.8
23.47	59.2
63.35	32.6
48.00	26.2
19.12	26.2
45.84	25.7
13.49	24.9
11.67	18.5
30.44	13.0

---

# 4
For PuCu2O4, DFT lattice parameters and positions (PBE) gives the theoretical X-ray powder pattern in this record (Cu Kα (λ = 1.5418 Å)).
No peak broadening, texture or thermal motion is included.

Atomic structure:
```
data_PuCu2O4
_symmetry_space_group_name_H-M 'P 1'
_symmetry_Int_Tables_number 1
_cell_length_a 4.466
_cell_length_b 4.466
_cell_length_c 5.144
_cell_angle_alpha 90.00
_cell_angle_beta 90.00
_cell_angle_gamma 90.00
loop_
_symmetry_equiv_pos_as_xyz
'x,y,z'
loop_
_atom_site_label
_atom_site_fract_x
_atom_site_fract_y
_atom_site_fract_z
Pu1 0.000 0.000 0.000
Cu1 0.000 0.500 0.500
Cu2 0.500 0.000 0.500
O1 0.241 0.241 0.269
O2 0.241 0.759 0.731
O3 0.759 0.241 0.731
O4 0.759 0.759 0.269
```

The 10 most intense peaks (2θ = 5–70°), by intensity:
2θ/deg	I/Imax
33.29	100.0
19.88	69.3
26.43	67.7
40.43	41.6
54.41	31.3
58.48	28.7
48.92	26.7
68.95	23.6
45.42	18.9
61.54	16.7

---

# 5
For Ce8Ga3, DFT lattice parameters and positions (PBE) gives the theoretical X-ray powder pattern in this record (Cu Kα (λ = 1.5418 Å)).
No peak broadening, texture or thermal motion is included.

Atomic structure:
```
data_Ce8Ga3
_symmetry_space_group_name_H-M 'P 1'
_symmetry_Int_Tables_number 1
_cell_length_a 16.851
_cell_length_b 16.851
_cell_length_c 16.851
_cell_angle_alpha 169.85
_cell_angle_beta 162.65
_cell_angle_gamma 20.14
loop_
_symmetry_equiv_pos_as_xyz
'x,y,z'
loop_
_atom_site_label
_atom_site_fract_x
_atom_site_fract_y
_atom_site_fract_z
Ce1 0.045 0.045 0.000
Ce2 0.221 0.221 0.000
Ce3 0.321 0.821 0.500
Ce4 0.412 0.912 0.500
Ce5 0.588 0.088 0.500
Ce6 0.679 0.179 0.500
Ce7 0.779 0.779 0.000
Ce8 0.955 0.955 0.000
Ga1 0.132 0.632 0.500
Ga2 0.500 0.500 0.000
Ga3 0.868 0.368 0.500
```

The 10 most intense peaks (2θ = 5–70°), by intensity:
2θ/deg	I/Imax
34.58	100.0
36.59	60.7
35.32	51.8
35.59	35.1
51.01	25.0
30.11	21.7
48.34	20.1
62.91	17.4
47.07	12.7
61.94	12.4

---

# 6
For Ti13Pb3, DFT lattice parameters and positions (PBE) gives the theoretical X-ray powder pattern in this record (Cu Kα (λ = 1.5418 Å)).
No peak broadening, texture or thermal motion is included.

Atomic structure:
```
data_Ti13Pb3
_symmetry_space_group_name_H-M 'P 1'
_symmetry_Int_Tables_number 1
_cell_length_a 4.784
_cell_length_b 6.006
_cell_length_c 10.193
_cell_angle_alpha 90.00
_cell_angle_beta 90.00
_cell_angle_gamma 90.00
loop_
_symmetry_equiv_pos_as_xyz
'x,y,z'
loop_
_atom_site_label
_atom_site_fract_x
_atom_site_fract_y
_atom_site_fract_z
Ti1 0.000 0.000 0.000
Ti2 0.000 0.000 0.515
Ti3 0.000 0.236 0.753
Ti4 0.000 0.250 0.272
Ti5 0.000 0.500 0.505
Ti6 0.000 0.750 0.272
Ti7 0.000 0.764 0.753
Ti8 0.500 0.000 0.682
Ti9 0.500 0.242 0.931
Ti10 0.500 0.243 0.434
Ti11 0.500 0.500 0.196
Ti12 0.500 0.757 0.434
Ti13 0.500 0.758 0.931
Pb1 0.000 0.500 0.013
Pb2 0.500 0.000 0.179
Pb3 0.500 0.500 0.684
```

The 10 most intense peaks (2θ = 5–70°), by intensity:
2θ/deg	I/Imax
39.60	100.0
25.35	48.5
40.09	43.2
37.60	37.4
25.54	23.8
69.21	21.9
34.67	21.9
17.14	20.8
30.22	19.6
35.22	15.7